The following is a theoretical powder diffractogram of AcSm5DyTm2. It was derived from a cell relaxed with PBE, using copper Kα.

```
data_AcSm5DyTm2
_cell_length_a 9.186
_cell_length_b 9.186
_cell_length_c 12.104
_cell_angle_alpha 90.00
_cell_angle_beta 90.00
_cell_angle_gamma 143.36
_symmetry_space_group_name_H-M 'P 1'
_symmetry_Int_Tables_number 1
loop_
_symmetry_equiv_pos_as_xyz
'x,y,z'
loop_
_atom_site_label
_atom_site_type_symbol
_atom_site_fract_x
_atom_site_fract_y
_atom_site_fract_z
_atom_site_occupancy
Ac1 Ac 0.114 0.886 0.500 1
Ac2 Ac 0.886 0.114 0.000 1
Sm1 Sm 0.079 0.921 0.840 1
Sm2 Sm 0.081 0.919 0.165 1
Sm3 Sm 0.268 0.732 0.296 1
Sm4 Sm 0.269 0.731 0.705 1
Sm5 Sm 0.440 0.560 0.148 1
Sm6 Sm 0.560 0.440 0.648 1
Sm7 Sm 0.731 0.269 0.205 1
Sm8 Sm 0.732 0.268 0.796 1
Sm9 Sm 0.919 0.081 0.665 1
Sm10 Sm 0.921 0.079 0.340 1
Dy1 Dy 0.249 0.751 0.000 1
Dy2 Dy 0.751 0.249 0.500 1
Tm1 Tm 0.389 0.611 0.499 1
Tm2 Tm 0.438 0.562 0.853 1
Tm3 Tm 0.562 0.438 0.353 1
Tm4 Tm 0.611 0.389 0.999 1
```

The 12 most intense peaks (10 to 90 degrees two-theta), by angle:
2θ/deg  I_rel
25.17  8
30.80  35
30.97  34
31.11  100
31.29  8
44.20  17
44.93  7
54.91  9
55.18  22
55.57  8
61.48  8
62.02  8



The following is a theoretical powder diffractogram of HoTeP. It was derived from a cell relaxed with PBE, using copper Kα.

```
data_HoTeP
_cell_length_a 4.059
_cell_length_b 3.944
_cell_length_c 9.019
_cell_angle_alpha 90.00
_cell_angle_beta 92.87
_cell_angle_gamma 90.00
_symmetry_space_group_name_H-M 'P 1'
_symmetry_Int_Tables_number 1
loop_
_symmetry_equiv_pos_as_xyz
'x,y,z'
loop_
_atom_site_label
_atom_site_type_symbol
_atom_site_fract_x
_atom_site_fract_y
_atom_site_fract_z
_atom_site_occupancy
Ho1 Ho 0.225 0.250 0.241 1
Ho2 Ho 0.775 0.750 0.759 1
Te1 Te 0.257 0.250 0.628 1
Te2 Te 0.743 0.750 0.372 1
P1 P 0.334 0.750 0.991 1
P2 P 0.666 0.250 0.009 1
```

The 12 most intense peaks (10 to 90 degrees two-theta), by angle:
2θ/deg  I_rel
19.71  43
30.12  36
30.39  27
31.65  100
32.88  24
36.33  38
36.95  34
37.65  53
38.18  57
44.71  25
46.03  27
56.14  30



The following is a theoretical powder diffractogram of TaVCu6Se8. It was derived from a cell relaxed with PBE, using copper Kα.

```
data_TaVCu6Se8
_cell_length_a 8.031
_cell_length_b 8.031
_cell_length_c 5.685
_cell_angle_alpha 90.00
_cell_angle_beta 90.00
_cell_angle_gamma 90.00
_symmetry_space_group_name_H-M 'P 1'
_symmetry_Int_Tables_number 1
loop_
_symmetry_equiv_pos_as_xyz
'x,y,z'
loop_
_atom_site_label
_atom_site_type_symbol
_atom_site_fract_x
_atom_site_fract_y
_atom_site_fract_z
_atom_site_occupancy
Ta1 Ta 0.000 0.000 0.000 1
V1 V 0.500 0.500 0.000 1
Cu1 Cu 0.000 0.000 0.500 1
Cu2 Cu 0.253 0.253 0.000 1
Cu3 Cu 0.253 0.747 0.000 1
Cu4 Cu 0.500 0.500 0.500 1
Cu5 Cu 0.747 0.253 0.000 1
Cu6 Cu 0.747 0.747 0.000 1
Se1 Se 0.000 0.251 0.750 1
Se2 Se 0.000 0.749 0.750 1
Se3 Se 0.251 0.000 0.250 1
Se4 Se 0.260 0.500 0.242 1
Se5 Se 0.500 0.260 0.758 1
Se6 Se 0.500 0.740 0.758 1
Se7 Se 0.740 0.500 0.242 1
Se8 Se 0.749 0.000 0.250 1
```

The 12 most intense peaks (10 to 90 degrees two-theta), by angle:
2θ/deg  I_rel
11.02  8
15.60  69
27.19  73
35.33  30
45.14  100
48.05  18
53.50  32
58.59  10
65.75  16
68.05  8
72.53  12
83.34  32



The following is a theoretical powder diffractogram of AlInPt6. It was derived from a cell relaxed with PBE, using copper Kα.

```
data_AlInPt6
_cell_length_a 3.987
_cell_length_b 3.987
_cell_length_c 7.975
_cell_angle_alpha 90.00
_cell_angle_beta 90.00
_cell_angle_gamma 90.00
_symmetry_space_group_name_H-M 'P 1'
_symmetry_Int_Tables_number 1
loop_
_symmetry_equiv_pos_as_xyz
'x,y,z'
loop_
_atom_site_label
_atom_site_type_symbol
_atom_site_fract_x
_atom_site_fract_y
_atom_site_fract_z
_atom_site_occupancy
Al1 Al 0.000 0.000 0.000 1
In1 In 0.000 0.000 0.500 1
Pt1 Pt 0.000 0.500 0.237 1
Pt2 Pt 0.000 0.500 0.763 1
Pt3 Pt 0.500 0.000 0.237 1
Pt4 Pt 0.500 0.000 0.763 1
Pt5 Pt 0.500 0.500 0.000 1
Pt6 Pt 0.500 0.500 0.500 1
```

The 12 most intense peaks (10 to 90 degrees two-theta), by angle:
2θ/deg  I_rel
22.30  10
31.74  9
33.72  4
39.13  100
45.50  49
51.23  5
56.53  3
66.30  31
67.47  2
70.90  2
79.77  37
84.10  11



The following is a theoretical powder diffractogram of Cs2K5Ge4. It was derived from a cell relaxed with PBE, using copper Kα.

```
data_Cs2K5Ge4
_cell_length_a 8.834
_cell_length_b 8.834
_cell_length_c 10.425
_cell_angle_alpha 119.77
_cell_angle_beta 119.77
_cell_angle_gamma 52.93
_symmetry_space_group_name_H-M 'P 1'
_symmetry_Int_Tables_number 1
loop_
_symmetry_equiv_pos_as_xyz
'x,y,z'
loop_
_atom_site_label
_atom_site_type_symbol
_atom_site_fract_x
_atom_site_fract_y
_atom_site_fract_z
_atom_site_occupancy
Cs1 Cs 0.236 0.236 0.098 1
Cs2 Cs 0.764 0.764 0.902 1
K1 K 0.137 0.649 0.605 1
K2 K 0.351 0.863 0.395 1
K3 K 0.500 0.500 0.000 1
K4 K 0.649 0.137 0.605 1
K5 K 0.863 0.351 0.395 1
Ge1 Ge 0.080 0.080 0.649 1
Ge2 Ge 0.256 0.256 0.725 1
Ge3 Ge 0.744 0.744 0.275 1
Ge4 Ge 0.920 0.920 0.351 1
```

The 12 most intense peaks (10 to 90 degrees two-theta), by angle:
2θ/deg  I_rel
11.52  57
13.46  71
14.14  58
20.96  100
22.59  69
25.42  59
27.42  81
28.26  76
28.49  60
29.95  70
30.51  56
35.56  59



The following is a theoretical powder diffractogram of PbAuCl5. It was derived from a cell relaxed with PBE, using copper Kα.

```
data_PbAuCl5
_cell_length_a 7.031
_cell_length_b 7.031
_cell_length_c 9.864
_cell_angle_alpha 95.62
_cell_angle_beta 95.62
_cell_angle_gamma 70.63
_symmetry_space_group_name_H-M 'P 1'
_symmetry_Int_Tables_number 1
loop_
_symmetry_equiv_pos_as_xyz
'x,y,z'
loop_
_atom_site_label
_atom_site_type_symbol
_atom_site_fract_x
_atom_site_fract_y
_atom_site_fract_z
_atom_site_occupancy
Pb1 Pb 0.045 0.955 0.750 1
Pb2 Pb 0.955 0.045 0.250 1
Au1 Au 0.000 0.500 0.000 1
Au2 Au 0.500 0.000 0.500 1
Cl1 Cl 0.156 0.177 0.520 1
Cl2 Cl 0.177 0.156 0.020 1
Cl3 Cl 0.217 0.508 0.839 1
Cl4 Cl 0.270 0.730 0.250 1
Cl5 Cl 0.492 0.783 0.661 1
Cl6 Cl 0.508 0.217 0.339 1
Cl7 Cl 0.730 0.270 0.750 1
Cl8 Cl 0.783 0.492 0.161 1
Cl9 Cl 0.823 0.844 0.980 1
Cl10 Cl 0.844 0.823 0.480 1
```

The 12 most intense peaks (10 to 90 degrees two-theta), by angle:
2θ/deg  I_rel
13.38  88
15.63  44
16.68  100
22.48  52
25.37  80
26.95  40
28.54  25
30.08  31
31.40  22
35.00  37
41.18  35
44.63  22



The following is a theoretical powder diffractogram of Fe5Pt3. It was derived from a cell relaxed with PBE, using copper Kα.

```
data_Fe5Pt3
_cell_length_a 4.733
_cell_length_b 7.054
_cell_length_c 7.063
_cell_angle_alpha 96.71
_cell_angle_beta 101.37
_cell_angle_gamma 101.59
_symmetry_space_group_name_H-M 'P 1'
_symmetry_Int_Tables_number 1
loop_
_symmetry_equiv_pos_as_xyz
'x,y,z'
loop_
_atom_site_label
_atom_site_type_symbol
_atom_site_fract_x
_atom_site_fract_y
_atom_site_fract_z
_atom_site_occupancy
Fe1 Fe 0.030 0.351 0.292 1
Fe2 Fe 0.188 0.709 0.386 1
Fe3 Fe 0.250 0.496 0.006 1
Fe4 Fe 0.312 0.112 0.790 1
Fe5 Fe 0.468 0.209 0.147 1
Fe6 Fe 0.532 0.791 0.853 1
Fe7 Fe 0.688 0.888 0.210 1
Fe8 Fe 0.750 0.504 0.994 1
Fe9 Fe 0.812 0.291 0.614 1
Fe10 Fe 0.970 0.649 0.708 1
Pt1 Pt 0.132 0.851 0.051 1
Pt2 Pt 0.250 0.079 0.421 1
Pt3 Pt 0.368 0.449 0.648 1
Pt4 Pt 0.632 0.551 0.352 1
Pt5 Pt 0.750 0.921 0.579 1
Pt6 Pt 0.868 0.149 0.949 1
```

The 12 most intense peaks (10 to 90 degrees two-theta), by angle:
2θ/deg  I_rel
20.96  38
25.98  100
26.10  26
39.06  61
39.66  54
40.10  54
41.69  43
41.87  82
42.67  28
42.94  71
47.91  29
76.45  28



The following is a theoretical powder diffractogram of Pm2SnSb4. It was derived from a cell relaxed with PBE, using copper Kα.

```
data_Pm2SnSb4
_cell_length_a 4.347
_cell_length_b 4.347
_cell_length_c 11.420
_cell_angle_alpha 90.00
_cell_angle_beta 90.00
_cell_angle_gamma 90.00
_symmetry_space_group_name_H-M 'P 1'
_symmetry_Int_Tables_number 1
loop_
_symmetry_equiv_pos_as_xyz
'x,y,z'
loop_
_atom_site_label
_atom_site_type_symbol
_atom_site_fract_x
_atom_site_fract_y
_atom_site_fract_z
_atom_site_occupancy
Pm1 Pm 0.000 0.500 0.217 1
Pm2 Pm 0.500 0.000 0.783 1
Sn1 Sn 0.000 0.000 0.500 1
Sb1 Sb 0.000 0.000 0.000 1
Sb2 Sb 0.000 0.500 0.688 1
Sb3 Sb 0.500 0.000 0.312 1
Sb4 Sb 0.500 0.500 0.000 1
```

The 12 most intense peaks (10 to 90 degrees two-theta), by angle:
2θ/deg  I_rel
25.76  29
31.30  20
33.10  100
37.69  25
41.55  33
49.53  10
52.48  9
52.93  16
57.34  14
60.21  11
69.06  8
70.45  22



The following is a theoretical powder diffractogram of V11S16. It was derived from a cell relaxed with PBE, using copper Kα.

```
data_V11S16
_cell_length_a 6.608
_cell_length_b 8.945
_cell_length_c 9.501
_cell_angle_alpha 100.26
_cell_angle_beta 106.01
_cell_angle_gamma 98.99
_symmetry_space_group_name_H-M 'P 1'
_symmetry_Int_Tables_number 1
loop_
_symmetry_equiv_pos_as_xyz
'x,y,z'
loop_
_atom_site_label
_atom_site_type_symbol
_atom_site_fract_x
_atom_site_fract_y
_atom_site_fract_z
_atom_site_occupancy
V1 V 0.000 0.000 0.000 1
V2 V 0.004 0.576 0.661 1
V3 V 0.014 0.142 0.338 1
V4 V 0.145 0.650 0.979 1
V5 V 0.201 0.349 0.031 1
V6 V 0.287 0.870 0.845 1
V7 V 0.300 0.365 0.321 1
V8 V 0.636 0.067 0.093 1
V9 V 0.663 0.527 0.780 1
V10 V 0.671 0.290 0.420 1
V11 V 0.946 0.923 0.667 1
S1 S 0.058 0.400 0.471 1
S2 S 0.155 0.786 0.575 1
S3 S 0.185 0.118 0.849 1
S4 S 0.260 0.581 0.203 1
S5 S 0.324 0.917 0.105 1
S6 S 0.367 0.149 0.429 1
S7 S 0.374 0.618 0.838 1
S8 S 0.540 0.310 0.171 1
S9 S 0.610 0.526 0.530 1
S10 S 0.620 0.018 0.852 1
S11 S 0.636 0.860 0.468 1
S12 S 0.821 0.082 0.502 1
S13 S 0.847 0.900 0.180 1
S14 S 0.879 0.761 0.824 1
S15 S 0.942 0.402 0.827 1
S16 S 0.960 0.238 0.123 1
```

The 12 most intense peaks (10 to 90 degrees two-theta), by angle:
2θ/deg  I_rel
12.56  100
14.28  19
14.65  34
15.94  16
17.48  21
22.42  10
39.07  10
42.05  17
43.82  9
44.83  12
45.75  12
46.61  9



Copy entry 3 word for word.
The following is a theoretical powder diffractogram of TaVCu6Se8. It was derived from a cell relaxed with PBE, using copper Kα.

```
data_TaVCu6Se8
_cell_length_a 8.031
_cell_length_b 8.031
_cell_length_c 5.685
_cell_angle_alpha 90.00
_cell_angle_beta 90.00
_cell_angle_gamma 90.00
_symmetry_space_group_name_H-M 'P 1'
_symmetry_Int_Tables_number 1
loop_
_symmetry_equiv_pos_as_xyz
'x,y,z'
loop_
_atom_site_label
_atom_site_type_symbol
_atom_site_fract_x
_atom_site_fract_y
_atom_site_fract_z
_atom_site_occupancy
Ta1 Ta 0.000 0.000 0.000 1
V1 V 0.500 0.500 0.000 1
Cu1 Cu 0.000 0.000 0.500 1
Cu2 Cu 0.253 0.253 0.000 1
Cu3 Cu 0.253 0.747 0.000 1
Cu4 Cu 0.500 0.500 0.500 1
Cu5 Cu 0.747 0.253 0.000 1
Cu6 Cu 0.747 0.747 0.000 1
Se1 Se 0.000 0.251 0.750 1
Se2 Se 0.000 0.749 0.750 1
Se3 Se 0.251 0.000 0.250 1
Se4 Se 0.260 0.500 0.242 1
Se5 Se 0.500 0.260 0.758 1
Se6 Se 0.500 0.740 0.758 1
Se7 Se 0.740 0.500 0.242 1
Se8 Se 0.749 0.000 0.250 1
```

The 12 most intense peaks (10 to 90 degrees two-theta), by angle:
2θ/deg  I_rel
11.02  8
15.60  69
27.19  73
35.33  30
45.14  100
48.05  18
53.50  32
58.59  10
65.75  16
68.05  8
72.53  12
83.34  32